No. 1
InAg2: theoretical XRD peak list (Cu Kα (λ = 1.5418 Å)), based on a DFT-relaxed cell (PBE, Alexandria).
Kinematic intensities with the Lorentz-polarization factor, no thermal factor.

Peak list (10 most intense, 15 to 90 degrees two-theta, in order of rising 2θ)
(hkl), d_spacing, intensity
1 0 5, 2.642, 100
1 0 7, 2.383, 88
0 0 12, 2.251, 39
1 1 2, 2.116, 65
1 1 10, 1.678, 19
2 0 0, 1.515, 22
1 1 14, 1.434, 25
2 1 5, 1.314, 21
2 1 7, 1.278, 22
2 0 12, 1.257, 22

Cell and atoms:
```
data_InAg2
_symmetry_space_group_name_H-M 'I 41/a m d'
_symmetry_Int_Tables_number 141
_cell_length_a 3.029
_cell_length_b 3.029
_cell_length_c 27.014
_cell_angle_alpha 90.00
_cell_angle_beta 90.00
_cell_angle_gamma 90.00
loop_
_symmetry_equiv_pos_as_xyz
'x,y,z'
'-x,-y,-z'
'-y+1/4,x+3/4,z+1/4'
'y+1/4,-x+3/4,-z+1/4'
'-x+1/2,-y,z+1/2'
'x+1/2,y,-z+1/2'
'y+1/4,-x+1/4,z+3/4'
'-y+1/4,x+1/4,-z+3/4'
'x,-y,-z'
'-x,y,z'
'-y+1/4,-x+1/4,-z+3/4'
'y+1/4,x+1/4,z+3/4'
'-x+1/2,y,-z+1/2'
'x+1/2,-y,z+1/2'
'y+1/4,x+3/4,-z+1/4'
'-y+1/4,-x+3/4,z+1/4'
'x+1/2,y+1/2,z+1/2'
'-x+1/2,-y+1/2,-z+1/2'
'-y+3/4,x+1/4,z+3/4'
'y+3/4,-x+1/4,-z+3/4'
'-x,-y+1/2,z'
'x,y+1/2,-z'
'y+3/4,-x+3/4,z+1/4'
'-y+3/4,x+3/4,-z+1/4'
'x+1/2,-y+1/2,-z+1/2'
'-x+1/2,y+1/2,z+1/2'
'-y+3/4,-x+3/4,-z+1/4'
'y+3/4,x+3/4,z+1/4'
'-x,y+1/2,-z'
'x,-y+1/2,z'
'y+3/4,x+1/4,-z+3/4'
'-y+3/4,-x+1/4,z+3/4'
loop_
_atom_site_label
_atom_site_type_symbol
_atom_site_fract_x
_atom_site_fract_y
_atom_site_fract_z
_atom_site_occupancy
In1 In 0.000 0.250 0.375 1
Ag1 Ag 0.000 0.250 0.795 1
```



No. 2
In9Ag17: theoretical XRD peak list (Cu Kα (λ = 1.5418 Å)), based on a DFT-relaxed cell (PBE, Alexandria).
Kinematic intensities with the Lorentz-polarization factor, no thermal factor.

Peak list (10 most intense, 15 to 90 degrees two-theta, in order of rising 2θ)
(hkl), d_spacing, intensity
4 0 2, 2.907, 11
3 3 -3, 2.388, 60
6 0 0, 2.382, 47
3 3 3, 2.373, 100
0 6 0, 2.370, 26
6 6 0, 1.680, 12
8 0 4, 1.453, 11
9 3 -3, 1.379, 8
3 9 -3, 1.372, 8
9 3 3, 1.370, 10

Cell and atoms:
```
data_In9Ag17
_symmetry_space_group_name_H-M 'C 1 m 1'
_symmetry_Int_Tables_number 8
_cell_length_a 14.292
_cell_length_b 14.219
_cell_length_c 10.115
_cell_angle_alpha 90.00
_cell_angle_beta 90.54
_cell_angle_gamma 90.00
loop_
_symmetry_equiv_pos_as_xyz
'x,y,z'
'x,-y,z'
'x+1/2,y+1/2,z'
'x+1/2,-y+1/2,z'
loop_
_atom_site_label
_atom_site_type_symbol
_atom_site_fract_x
_atom_site_fract_y
_atom_site_fract_z
_atom_site_occupancy
In1 In 0.000 0.000 0.000 1
In2 In 0.005 0.370 0.273 1
In3 In 0.036 0.328 0.662 1
In4 In 0.070 0.000 0.580 1
In5 In 0.167 0.185 0.938 1
In6 In 0.179 0.124 0.346 1
In7 In 0.305 0.000 0.594 1
In8 In 0.312 0.328 0.647 1
In9 In 0.343 0.362 0.298 1
In10 In 0.359 0.321 0.969 1
In11 In 0.373 0.000 0.007 1
Ag1 Ag 0.001 0.138 0.770 1
Ag2 Ag 0.002 0.179 0.468 1
Ag3 Ag 0.003 0.321 0.967 1
Ag4 Ag 0.004 0.000 0.292 1
Ag5 Ag 0.004 0.500 0.795 1
Ag6 Ag 0.028 0.178 0.165 1
Ag7 Ag 0.080 0.500 0.069 1
Ag8 Ag 0.165 0.318 0.440 1
Ag9 Ag 0.178 0.324 0.144 1
Ag10 Ag 0.179 0.394 0.863 1
Ag11 Ag 0.180 0.172 0.641 1
Ag12 Ag 0.182 0.500 0.325 1
Ag13 Ag 0.182 0.500 0.612 1
Ag14 Ag 0.184 0.000 0.114 1
Ag15 Ag 0.185 0.000 0.825 1
Ag16 Ag 0.289 0.500 0.079 1
Ag17 Ag 0.321 0.173 0.152 1
Ag18 Ag 0.345 0.000 0.304 1
Ag19 Ag 0.349 0.144 0.791 1
Ag20 Ag 0.350 0.500 0.801 1
Ag21 Ag 0.360 0.176 0.469 1
Ag22 Ag 0.372 0.500 0.512 1
Ag23 Ag 0.499 0.000 0.498 1
```